SrY2TcO8: calculated powder X-ray diffraction pattern (Cu Ka), based on a DFT-relaxed cell (PBE, Alexandria).
Peak positions follow from Bragg's law for the DFT cell and can differ from measured ones.

Structure:
a = 4.3674 Å, b = 5.1763 Å, c = 6.9931 Å
α = 89.54°, β = 73.41°, γ = 87.80°
Space group P-1 (No. 2)
Inequivalent atoms, fractional coordinates:
1 Sr 0.0000 0.0000 0.0000
2 Y 0.3941 0.5166 0.2864
3 Tc 0.0000 0.0000 0.5000
4 O 0.1708 0.3004 0.5923
5 O 0.2229 0.7780 0.6262
6 O 0.2367 0.4987 0.0071
7 O 0.3430 0.9763 0.2530

Peak list (6 most intense, 10 to 80 degrees two-theta, sorted by position)
26.90°, d 3.314, intensity 100.0; 27.93°, d 3.194, intensity 69.3; 29.00°, d 3.079, intensity 85.1; 31.82°, d 2.813, intensity 94.3; 34.69°, d 2.586, intensity 66.9; 38.94°, d 2.313, intensity 43.5